# 1
Structure and theoretical powder diffractogram of PmHo4Sc4 (a structure optimized by DFT (PBE); λ = 1.5418 Å (Cu Kα)).
No peak broadening, texture or thermal motion is included.

```
data_PmHo4Sc4
_cell_length_a 6.762
_cell_length_b 6.762
_cell_length_c 11.779
_cell_angle_alpha 90.00
_cell_angle_beta 90.00
_cell_angle_gamma 90.00
_symmetry_space_group_name_H-M 'P 42/n m c'
_symmetry_Int_Tables_number 137
loop_
_symmetry_equiv_pos_as_xyz
'x,y,z'
'-x,-y,-z'
'-y+1/2,x,z+1/2'
'y+1/2,-x,-z+1/2'
'-x+1/2,-y+1/2,z'
'x+1/2,y+1/2,-z'
'y,-x+1/2,z+1/2'
'-y,x+1/2,-z+1/2'
'x+1/2,-y,-z'
'-x+1/2,y,z'
'-y,-x,-z+1/2'
'y,x,z+1/2'
'-x,y+1/2,-z'
'x,-y+1/2,z'
'y+1/2,x+1/2,-z+1/2'
'-y+1/2,-x+1/2,z+1/2'
loop_
_atom_site_label
_atom_site_fract_x
_atom_site_fract_y
_atom_site_fract_z
Pm1 0.250 0.750 0.250
Ho1 0.010 0.250 0.024
Sc1 0.032 0.250 0.307
```

Most intense lines, 2θ from 5° to 70°, by angle:
- 5.889 Å, 15.05°, intensity 34, hkl 0 0 2
- 3.250 Å, 27.44°, intensity 100, hkl 2 0 1
- 2.945 Å, 30.35°, intensity 29, hkl 0 0 4
- 2.930 Å, 30.51°, intensity 45, hkl 2 1 1
- 2.562 Å, 35.02°, intensity 85, hkl 2 0 3
- 2.391 Å, 37.62°, intensity 29, hkl 2 2 0
- 2.215 Å, 40.73°, intensity 43, hkl 2 2 2
- 1.858 Å, 49.04°, intensity 26, hkl 2 2 4

# 2
Structure and theoretical powder diffractogram of Pm12Ho5Sc (a structure optimized by DFT (PBE); λ = 1.5418 Å (Cu Kα)).
No peak broadening, texture or thermal motion is included.

```
data_Pm12Ho5Sc
_cell_length_a 11.234
_cell_length_b 17.869
_cell_length_c 5.917
_cell_angle_alpha 90.00
_cell_angle_beta 90.01
_cell_angle_gamma 90.00
_symmetry_space_group_name_H-M 'C 1 2/m 1'
_symmetry_Int_Tables_number 12
_symmetry_space_group_name_Hall '-C 2y'
loop_
_atom_site_label
_atom_site_fract_x
_atom_site_fract_y
_atom_site_fract_z
Pm1 0.155 0.000 0.001
Pm2 0.156 0.500 0.499
Pm3 0.161 0.159 0.499
Pm4 0.163 0.336 0.001
Ho1 0.000 0.171 0.000
Ho2 0.000 0.327 0.500
Ho3 0.000 0.500 0.000
Sc1 0.000 0.000 0.500
```

Most intense lines, 2θ from 5° to 70°, by angle:
- 2.978 Å, 30.00°, intensity 29, hkl 0 6 0
- 2.958 Å, 30.21°, intensity 31, hkl 0 0 2
- 2.794 Å, 32.03°, intensity 100, hkl 3 3 1
- 2.099 Å, 43.10°, intensity 22, hkl 0 6 2
- 1.682 Å, 54.57°, intensity 21, hkl 3 9 1
- 1.675 Å, 54.82°, intensity 22, hkl 3 3 3
- 1.582 Å, 58.32°, intensity 9, hkl 6 0 2
- 1.397 Å, 66.97°, intensity 11, hkl 6 6 2

# 3
Structure and theoretical powder diffractogram of Pm2Ho3Sc8 (a structure optimized by DFT (PBE); λ = 1.5418 Å (Cu Kα)).
No peak broadening, texture or thermal motion is included.

```
data_Pm2Ho3Sc8
_cell_length_a 14.096
_cell_length_b 8.582
_cell_length_c 6.357
_cell_angle_alpha 90.00
_cell_angle_beta 99.21
_cell_angle_gamma 90.00
_symmetry_space_group_name_H-M 'C 1 2/m 1'
_symmetry_Int_Tables_number 12
_symmetry_space_group_name_Hall '-C 2y'
loop_
_atom_site_label
_atom_site_fract_x
_atom_site_fract_y
_atom_site_fract_z
Pm1 0.207 0.000 0.250
Ho1 0.000 0.000 0.500
Ho2 0.000 0.178 0.000
Sc1 0.080 0.500 0.873
Sc2 0.108 0.324 0.440
Sc3 0.220 0.000 0.754
```

Most intense lines, 2θ from 5° to 70°, by angle:
- 7.304 Å, 12.12°, intensity 71, hkl 1 1 0
- 3.654 Å, 24.36°, intensity 34, hkl 2 2 0
- 3.048 Å, 29.30°, intensity 48, hkl 2 0 -2
- 2.703 Å, 33.15°, intensity 65, hkl 2 0 2
- 2.676 Å, 33.49°, intensity 57, hkl 3 1 -2
- 2.647 Å, 33.86°, intensity 68, hkl 5 1 0
- 2.602 Å, 34.47°, intensity 55, hkl 4 2 -1
- 2.529 Å, 35.49°, intensity 100, hkl 1 3 1

# 4
Structure and theoretical powder diffractogram of Pm10Ho4Sc (a structure optimized by DFT (PBE); λ = 1.5418 Å (Cu Kα)).
No peak broadening, texture or thermal motion is included.

```
data_Pm10Ho4Sc
_cell_length_a 9.807
_cell_length_b 9.807
_cell_length_c 10.470
_cell_angle_alpha 90.00
_cell_angle_beta 90.00
_cell_angle_gamma 90.00
_symmetry_space_group_name_H-M 'I 4/m'
_symmetry_Int_Tables_number 87
_symmetry_space_group_name_Hall '-I 4'
loop_
_atom_site_label
_atom_site_fract_x
_atom_site_fract_y
_atom_site_fract_z
Pm1 0.000 0.500 0.250
Pm2 0.114 0.788 0.160
Ho1 0.059 0.676 0.500
Sc1 0.000 0.000 0.500
```

Most intense lines, 2θ from 5° to 70°, by angle:
- 3.288 Å, 27.12°, intensity 57, hkl 1 0 3
- 3.120 Å, 28.61°, intensity 64, hkl 3 0 1
- 3.101 Å, 28.79°, intensity 100, hkl 1 3 0
- 2.731 Å, 32.79°, intensity 95, hkl 1 2 3
- 2.668 Å, 33.59°, intensity 57, hkl 1 3 2
- 2.633 Å, 34.06°, intensity 32, hkl 2 3 1
- 2.023 Å, 44.81°, intensity 40, hkl 4 2 2
- 1.550 Å, 59.64°, intensity 33, hkl 2 6 0

# 5
Structure and theoretical powder diffractogram of Pm2Ho3Sc3 (a structure optimized by DFT (PBE); λ = 1.5418 Å (Cu Kα)).
No peak broadening, texture or thermal motion is included.

```
data_Pm2Ho3Sc3
_cell_length_a 22.543
_cell_length_b 3.486
_cell_length_c 5.957
_cell_angle_alpha 90.00
_cell_angle_beta 94.00
_cell_angle_gamma 90.00
_symmetry_space_group_name_H-M 'C 1 2/m 1'
_symmetry_Int_Tables_number 12
_symmetry_space_group_name_Hall '-C 2y'
loop_
_atom_site_label
_atom_site_fract_x
_atom_site_fract_y
_atom_site_fract_z
Pm1 0.247 0.000 0.251
Ho1 0.000 0.000 0.500
Ho2 0.121 0.000 0.876
Sc1 0.000 0.500 0.000
Sc2 0.122 0.500 0.373
```

Most intense lines, 2θ from 5° to 70°, by angle:
- 2.825 Å, 31.67°, intensity 100, hkl 2 0 2
- 2.811 Å, 31.83°, intensity 32, hkl 8 0 0
- 2.460 Å, 36.53°, intensity 45, hkl 5 1 1
- 2.412 Å, 37.28°, intensity 21, hkl 6 0 -2
- 1.725 Å, 53.09°, intensity 15, hkl 1 1 -3
- 1.719 Å, 53.29°, intensity 15, hkl 11 1 -1
- 1.482 Å, 62.68°, intensity 18, hkl 2 2 2
- 1.461 Å, 63.71°, intensity 13, hkl 4 0 -4

# 6
Structure and theoretical powder diffractogram of Pm2HoSc2 (a structure optimized by DFT (PBE); λ = 1.5418 Å (Cu Kα)).
No peak broadening, texture or thermal motion is included.

```
data_Pm2HoSc2
_cell_length_a 5.660
_cell_length_b 11.440
_cell_length_c 9.506
_cell_angle_alpha 90.00
_cell_angle_beta 90.00
_cell_angle_gamma 90.00
_symmetry_space_group_name_H-M 'I m m a'
_symmetry_Int_Tables_number 74
_symmetry_space_group_name_Hall '-I 2b 2'
loop_
_atom_site_label
_atom_site_fract_x
_atom_site_fract_y
_atom_site_fract_z
Pm1 0.000 0.075 0.162
Ho1 0.000 0.250 0.854
Sc1 0.000 0.115 0.553
```

Most intense lines, 2θ from 5° to 70°, by angle:
- 4.863 Å, 18.24°, intensity 29, hkl 1 0 1
- 3.539 Å, 25.16°, intensity 63, hkl 0 3 1
- 2.830 Å, 31.61°, intensity 42, hkl 2 0 0
- 2.765 Å, 32.38°, intensity 64, hkl 1 0 3
- 2.633 Å, 34.05°, intensity 100, hkl 1 3 2
- 2.210 Å, 40.83°, intensity 35, hkl 2 3 1
- 1.593 Å, 57.88°, intensity 21, hkl 3 3 2
- 1.570 Å, 58.83°, intensity 19, hkl 1 6 3

# 7
Structure and theoretical powder diffractogram of Pm4Ho5Sc (a structure optimized by DFT (PBE); λ = 1.5418 Å (Cu Kα)).
No peak broadening, texture or thermal motion is included.

```
data_Pm4Ho5Sc
_cell_length_a 10.644
_cell_length_b 10.644
_cell_length_c 5.813
_cell_angle_alpha 90.00
_cell_angle_beta 90.00
_cell_angle_gamma 90.00
_symmetry_space_group_name_H-M 'I 4 m m'
_symmetry_Int_Tables_number 107
_symmetry_space_group_name_Hall 'I 4 -2'
loop_
_atom_site_label
_atom_site_fract_x
_atom_site_fract_y
_atom_site_fract_z
Pm1 0.000 0.322 0.000
Ho1 0.000 0.000 0.232
Ho2 0.186 0.186 0.515
Sc1 0.000 0.000 0.758
```

Most intense lines, 2θ from 5° to 70°, by angle:
- 3.028 Å, 29.49°, intensity 100, hkl 3 0 1
- 2.907 Å, 30.76°, intensity 16, hkl 0 0 2
- 2.551 Å, 35.18°, intensity 12, hkl 2 0 2
- 2.509 Å, 35.79°, intensity 37, hkl 3 3 0
- 1.899 Å, 47.90°, intensity 16, hkl 3 3 2
- 1.774 Å, 51.51°, intensity 11, hkl 6 0 0
- 1.701 Å, 53.91°, intensity 15, hkl 3 0 3
- 1.531 Å, 60.48°, intensity 19, hkl 6 3 1

# 8
Structure and theoretical powder diffractogram of PmHo12Sc7 (a structure optimized by DFT (PBE); λ = 1.5418 Å (Cu Kα)).
No peak broadening, texture or thermal motion is included.

```
data_PmHo12Sc7
_cell_length_a 16.0895
_cell_length_b 16.0895
_cell_length_c 7.9645
_cell_angle_alpha 90.00
_cell_angle_beta 90.00
_cell_angle_gamma 120.00
_symmetry_space_group_name_H-M 'R -3 m'
_symmetry_Int_Tables_number 166
_symmetry_space_group_name_Hall '-R 3 2"'
loop_
_atom_site_label
_atom_site_fract_x
_atom_site_fract_y
_atom_site_fract_z
Pm1 0.0000 0.0000 0.0000
Ho1 0.0000 0.2829 0.0000
Ho2 0.1106 0.2212 0.3119
Sc1 0.0000 0.0000 0.5000
Sc2 0.1102 0.5551 0.3962
```

Most intense lines, 2θ from 5° to 70°, by angle:
- 3.477 Å, 25.62°, intensity 100, hkl 1 3 1
- 2.773 Å, 32.28°, intensity 82, hkl 3 1 2
- 2.682 Å, 33.42°, intensity 97, hkl 3 3 0
- 2.655 Å, 33.76°, intensity 46, hkl 0 0 3
- 2.493 Å, 36.03°, intensity 34, hkl 2 3 2
- 1.931 Å, 47.06°, intensity 34, hkl 7 0 1
- 1.887 Å, 48.24°, intensity 45, hkl 3 3 3
- 1.781 Å, 51.31°, intensity 35, hkl 0 7 2

# 9
Structure and theoretical powder diffractogram of Pm8HoSc4 (a structure optimized by DFT (PBE); λ = 1.5418 Å (Cu Kα)).
No peak broadening, texture or thermal motion is included.

```
data_Pm8HoSc4
_cell_length_a 6.9941
_cell_length_b 6.9941
_cell_length_c 28.9811
_cell_angle_alpha 90.00
_cell_angle_beta 90.00
_cell_angle_gamma 120.00
_symmetry_space_group_name_H-M 'R -3 m'
_symmetry_Int_Tables_number 166
_symmetry_space_group_name_Hall '-R 3 2"'
loop_
_atom_site_label
_atom_site_fract_x
_atom_site_fract_y
_atom_site_fract_z
Pm1 0.0000 0.0000 0.2114
Pm2 0.0208 0.5104 0.7582
Ho1 0.0000 0.0000 0.5000
Sc1 0.0000 0.0000 0.0000
Sc2 0.0000 0.5000 0.0000
```

Most intense lines, 2θ from 5° to 70°, by angle:
- 9.660 Å, 9.15°, intensity 28, hkl 0 0 3
- 4.830 Å, 18.37°, intensity 20, hkl 0 0 6
- 2.964 Å, 30.15°, intensity 39, hkl 2 0 2
- 2.833 Å, 31.59°, intensity 18, hkl 1 1 6
- 2.794 Å, 32.03°, intensity 100, hkl 0 2 4
- 2.614 Å, 34.30°, intensity 21, hkl 1 0 10
- 2.324 Å, 38.75°, intensity 34, hkl 2 0 8
- 1.749 Å, 52.32°, intensity 29, hkl 2 2 0

# 10
Structure and theoretical powder diffractogram of PmSmHo2Sc (a structure optimized by DFT (PBE); λ = 1.5418 Å (Cu Kα)).
No peak broadening, texture or thermal motion is included.

```
data_PmSmHo2Sc
_cell_length_a 6.373
_cell_length_b 15.955
_cell_length_c 6.370
_cell_angle_alpha 90.00
_cell_angle_beta 90.00
_cell_angle_gamma 90.00
_symmetry_space_group_name_H-M 'C m c m'
_symmetry_Int_Tables_number 63
_symmetry_space_group_name_Hall '-C 2c 2'
loop_
_atom_site_label
_atom_site_fract_x
_atom_site_fract_y
_atom_site_fract_z
Pm1 0.000 0.162 0.250
Sm1 0.000 0.250 0.750
Ho1 0.249 0.500 0.000
Sc1 0.000 0.348 0.250
```

Most intense lines, 2θ from 5° to 70°, by angle:
- 3.989 Å, 22.29°, intensity 21, hkl 0 4 0
- 3.438 Å, 25.92°, intensity 15, hkl 1 3 1
- 2.959 Å, 30.21°, intensity 100, hkl 2 2 0
- 2.604 Å, 34.44°, intensity 25, hkl 1 5 1
- 2.489 Å, 36.08°, intensity 18, hkl 2 4 0
- 2.253 Å, 40.02°, intensity 34, hkl 2 0 2
- 1.427 Å, 65.42°, intensity 14, hkl 2 10 0
- 1.403 Å, 66.69°, intensity 21, hkl 4 2 2

# 11
Structure and theoretical powder diffractogram of Pm2SmHo4Sc (a structure optimized by DFT (PBE); λ = 1.5418 Å (Cu Kα)).
No peak broadening, texture or thermal motion is included.

```
data_Pm2SmHo4Sc
_cell_length_a 14.725
_cell_length_b 11.701
_cell_length_c 6.747
_cell_angle_alpha 90.00
_cell_angle_beta 117.18
_cell_angle_gamma 90.00
_symmetry_space_group_name_H-M 'C 1 2/m 1'
_symmetry_Int_Tables_number 12
_symmetry_space_group_name_Hall '-C 2y'
loop_
_atom_site_label
_atom_site_fract_x
_atom_site_fract_y
_atom_site_fract_z
Pm1 0.000 0.000 0.000
Pm2 0.000 0.000 0.500
Pm3 0.250 0.250 0.000
Sm1 0.250 0.250 0.500
Ho1 0.000 0.265 0.251
Ho2 0.236 0.500 0.236
Ho3 0.236 0.500 0.737
Sc1 0.000 0.500 0.000
Sc2 0.000 0.500 0.500
```

Most intense lines, 2θ from 5° to 70°, by angle:
- 3.275 Å, 27.23°, intensity 44, hkl 4 0 0
- 2.923 Å, 30.58°, intensity 100, hkl 2 2 -2
- 2.181 Å, 41.40°, intensity 85, hkl 2 2 2
- 1.688 Å, 54.36°, intensity 21, hkl 4 0 -4
- 1.637 Å, 56.18°, intensity 6, hkl 8 0 0
- 1.501 Å, 61.83°, intensity 20, hkl 0 0 4
- 1.462 Å, 63.66°, intensity 12, hkl 4 4 -4
- 1.429 Å, 65.32°, intensity 20, hkl 6 2 2

# 12
Structure and theoretical powder diffractogram of Pm3Sm2Ho6Sc (a structure optimized by DFT (PBE); λ = 1.5418 Å (Cu Kα)).
No peak broadening, texture or thermal motion is included.

```
data_Pm3Sm2Ho6Sc
_cell_length_a 6.154
_cell_length_b 10.657
_cell_length_c 11.756
_cell_angle_alpha 90.00
_cell_angle_beta 100.03
_cell_angle_gamma 90.00
_symmetry_space_group_name_H-M 'C 1 2/m 1'
_symmetry_Int_Tables_number 12
_symmetry_space_group_name_Hall '-C 2y'
loop_
_atom_site_label
_atom_site_fract_x
_atom_site_fract_y
_atom_site_fract_z
Pm1 0.000 0.000 0.000
Pm2 0.000 0.333 0.000
Sm1 0.000 0.166 0.500
Ho1 0.247 0.335 0.747
Ho2 0.249 0.500 0.253
Sc1 0.000 0.500 0.500
```

Most intense lines, 2θ from 5° to 70°, by angle:
- 5.788 Å, 15.31°, intensity 1, hkl 0 0 2
- 2.899 Å, 30.85°, intensity 100, hkl 1 3 1
- 2.510 Å, 35.77°, intensity 51, hkl 2 0 2
- 1.775 Å, 51.48°, intensity 36, hkl 0 6 0
- 1.514 Å, 61.21°, intensity 32, hkl 4 0 0
- 1.512 Å, 61.30°, intensity 10, hkl 2 0 6
- 1.450 Å, 64.23°, intensity 9, hkl 2 6 2
- 1.447 Å, 64.38°, intensity 3, hkl 0 0 8

# 13
Structure and theoretical powder diffractogram of Pm4Sm2HoSc (a structure optimized by DFT (PBE); λ = 1.5418 Å (Cu Kα)).
No peak broadening, texture or thermal motion is included.

```
data_Pm4Sm2HoSc
_cell_length_a 5.073
_cell_length_b 5.090
_cell_length_c 10.046
_cell_angle_alpha 90.00
_cell_angle_beta 90.00
_cell_angle_gamma 90.00
_symmetry_space_group_name_H-M 'P m m m'
_symmetry_Int_Tables_number 47
_symmetry_space_group_name_Hall '-P 2 2'
loop_
_atom_site_label
_atom_site_fract_x
_atom_site_fract_y
_atom_site_fract_z
Pm1 0.000 0.000 0.245
Pm2 0.500 0.500 0.246
Sm1 0.000 0.500 0.000
Sm2 0.500 0.000 0.500
Ho1 0.000 0.500 0.500
Sc1 0.500 0.000 0.000
```

Most intense lines, 2θ from 5° to 70°, by angle:
- 2.922 Å, 30.59°, intensity 100, hkl 1 1 2
- 2.545 Å, 35.26°, intensity 17, hkl 0 2 0
- 2.537 Å, 35.39°, intensity 17, hkl 2 0 0
- 2.511 Å, 35.75°, intensity 16, hkl 0 0 4
- 1.786 Å, 51.14°, intensity 24, hkl 2 0 4
- 1.532 Å, 60.41°, intensity 14, hkl 1 3 2
- 1.529 Å, 60.57°, intensity 14, hkl 3 1 2
- 1.518 Å, 61.06°, intensity 14, hkl 1 1 6